Record 1
MgCdRu2: computed powder XRD pattern (Cu Kα), based on a cell relaxed with GGA-PBE.
Lines closer than 0.1° are merged.

The 6 most intense peaks (2θ = 10–90°), low angle first:
d_spacing	Rel. int.	(hkl)
4.722	15.5	0 0 6
2.361	27.1	0 0 12
2.345	100.0	1 0 4
2.034	59.7	0 1 8
1.435	20.8	1 1 0
1.226	18.9	1 1 12

Crystal structure
```
data_MgCdRu2
_chemical_formula_sum 'Mg3 Cd3 Ru6'
_symmetry_space_group_name_H-M 'R 3 m'
_symmetry_Int_Tables_number 160
_symmetry_space_group_name_Hall 'R 3 -2"'
_cell_length_a 2.8694
_cell_length_b 2.8694
_cell_length_c 28.3329
_cell_angle_alpha 90.00
_cell_angle_beta 90.00
_cell_angle_gamma 120.00
loop_
_atom_site_label
_atom_site_fract_x
_atom_site_fract_y
_atom_site_fract_z
Mg1 0.0000 0.0000 0.0000
Cd1 0.0000 0.0000 0.2348
Ru1 0.0000 0.0000 0.4814
Ru2 0.0000 0.0000 0.7455
```

---

Record 2
Mg4Cd10Ru: computed powder XRD pattern (Cu Kα), based on a cell relaxed with GGA-PBE.
Lines closer than 0.1° are merged.

The 6 most intense peaks (2θ = 10–90°), low angle first:
d_spacing	Rel. int.	(hkl)
3.211	74.8	2 0 0
2.823	65.1	0 3 1
2.445	100.0	0 2 4
2.393	56.4	2 1 3
2.120	77.5	2 3 1
1.945	47.9	2 2 4

Crystal structure
```
data_Mg4Cd10Ru
_chemical_formula_sum 'Mg8 Cd20 Ru2'
_symmetry_space_group_name_H-M 'I m m m'
_symmetry_Int_Tables_number 71
_symmetry_space_group_name_Hall '-I 2 2'
_cell_length_a 6.4225
_cell_length_b 8.7222
_cell_length_c 11.8103
_cell_angle_alpha 90.00
_cell_angle_beta 90.00
_cell_angle_gamma 90.00
loop_
_atom_site_label
_atom_site_fract_x
_atom_site_fract_y
_atom_site_fract_z
Mg1 0.0000 0.0000 0.2064
Mg2 0.0000 0.5000 0.2767
Cd1 0.2386 0.5000 0.5000
Cd2 0.2430 0.1960 0.3748
Ru1 0.0000 0.5000 0.0000
```

---

Record 3
MgCdS2: computed powder XRD pattern (Cu Kα), based on a cell relaxed with GGA-PBE.
Lines closer than 0.1° are merged.

The 6 most intense peaks (2θ = 10–90°), low angle first:
d_spacing	Rel. int.	(hkl)
6.298	60.2	0 0 1
4.076	25.4	1 -1 0
3.783	100.0	-1 1 1
2.806	57.8	0 2 -2
2.184	83.2	-2 1 1
1.715	28.4	1 3 -1

Crystal structure
```
data_MgCdS2
_chemical_formula_sum 'Mg2 Cd2 S4'
_symmetry_space_group_name_H-M 'P -1'
_symmetry_Int_Tables_number 2
_cell_length_a 4.3741
_cell_length_b 7.0787
_cell_length_c 7.1413
_cell_angle_alpha 104.26
_cell_angle_beta 107.82
_cell_angle_gamma 107.99
loop_
_symmetry_equiv_pos_as_xyz
'x,y,z'
'-x,-y,-z'
loop_
_atom_site_label
_atom_site_fract_x
_atom_site_fract_y
_atom_site_fract_z
Mg1 0.1692 0.2956 0.0435
Cd1 0.1644 0.7887 0.5393
S1 0.1628 0.0492 0.2769
S2 0.1716 0.5364 0.8065
```

---

Record 4
MgCdS2: computed powder XRD pattern (Cu Kα), based on a cell relaxed with GGA-PBE.
Lines closer than 0.1° are merged.

The 6 most intense peaks (2θ = 10–90°), low angle first:
d_spacing	Rel. int.	(hkl)
6.563	57.9	1 1 -1
3.575	36.1	2 2 -1
3.036	28.6	3 1 -3
3.018	100.0	2 2 2
2.423	60.6	4 0 -4
1.899	31.7	2 2 -6

Crystal structure
```
data_MgCdS2
_chemical_formula_sum 'Mg16 Cd16 S32'
_symmetry_space_group_name_H-M 'C 1 2/c 1'
_symmetry_Int_Tables_number 15
_cell_length_a 12.5989
_cell_length_b 8.9207
_cell_length_c 12.7854
_cell_angle_alpha 90.00
_cell_angle_beta 99.54
_cell_angle_gamma 90.00
loop_
_symmetry_equiv_pos_as_xyz
'x,y,z'
'-x,-y,-z'
'-x,y,-z+1/2'
'x,-y,z+1/2'
'x+1/2,y+1/2,z'
'-x+1/2,-y+1/2,-z'
'-x+1/2,y+1/2,-z+1/2'
'x+1/2,-y+1/2,z+1/2'
loop_
_atom_site_label
_atom_site_fract_x
_atom_site_fract_y
_atom_site_fract_z
Mg1 0.1056 0.0320 0.1141
Mg2 0.1218 0.3360 0.3692
Cd1 0.1350 0.2192 0.8802
Cd2 0.1358 0.4140 0.6299
S1 0.0000 0.0628 0.7500
S2 0.0000 0.4958 0.2500
S3 0.0340 0.2022 0.5000
S4 0.2183 0.2155 0.2428
S5 0.2231 0.4595 0.9824
```

---

Record 5
MgCdTeS: computed powder XRD pattern (Cu Kα), based on a cell relaxed with GGA-PBE.
Lines closer than 0.1° are merged.

The 6 most intense peaks (2θ = 10–90°), low angle first:
d_spacing	Rel. int.	(hkl)
7.184	71.8	0 0 3
3.555	100.0	0 1 2
2.836	38.9	0 1 5
2.191	40.4	0 1 8
2.174	45.5	1 1 0
2.081	20.7	1 1 3

Crystal structure
```
data_MgCdTeS
_chemical_formula_sum 'Mg3 Cd3 Te3 S3'
_symmetry_space_group_name_H-M 'R 3 m'
_symmetry_Int_Tables_number 160
_symmetry_space_group_name_Hall 'R 3 -2"'
_cell_length_a 4.3489
_cell_length_b 4.3489
_cell_length_c 21.5519
_cell_angle_alpha 90.00
_cell_angle_beta 90.00
_cell_angle_gamma 120.00
loop_
_atom_site_label
_atom_site_fract_x
_atom_site_fract_y
_atom_site_fract_z
Mg1 0.0000 0.0000 0.0000
Cd1 0.0000 0.0000 0.5204
Te1 0.0000 0.0000 0.1311
S1 0.0000 0.0000 0.6397
```

---

Record 6
Mg2ZnCdS4: computed powder XRD pattern (Cu Kα), based on a cell relaxed with GGA-PBE.
Lines closer than 0.1° are merged.

The 6 most intense peaks (2θ = 10–90°), low angle first:
d_spacing	Rel. int.	(hkl)
5.637	20.9	0 0 2
4.039	20.3	1 1 0
3.283	100.0	1 1 2
2.020	21.5	2 2 0
2.006	42.5	2 0 4
1.720	27.7	3 1 2

Crystal structure
```
data_Mg2ZnCdS4
_chemical_formula_sum 'Mg4 Zn2 Cd2 S8'
_symmetry_space_group_name_H-M 'I -4 2 m'
_symmetry_Int_Tables_number 121
_symmetry_space_group_name_Hall 'I -4 2'
_cell_length_a 5.7123
_cell_length_b 5.7123
_cell_length_c 11.2740
_cell_angle_alpha 90.00
_cell_angle_beta 90.00
_cell_angle_gamma 90.00
loop_
_atom_site_label
_atom_site_fract_x
_atom_site_fract_y
_atom_site_fract_z
Mg1 0.0000 0.5000 0.2500
Zn1 0.0000 0.0000 0.0000
Cd1 0.0000 0.0000 0.5000
S1 0.2350 0.2350 0.8744
```